Starting from the GGA-PBE geometry in Alexandria, the X-ray powder pattern of ZnCdF4 was calculated for λ = 1.5418 Å (Cu Kα).

Most intense lines, 2θ = 10–80°, sorted by position:
| d_spacing | I/Imax |
| --- | --- |
| 3.104 | 100 |
| 2.730 | 16 |
| 2.608 | 5 |
| 1.931 | 19 |
| 1.886 | 39 |
| 1.639 | 29 |
| 1.585 | 13 |
| 1.552 | 8 |
| 1.250 | 6 |
| 1.225 | 11 |

Structure:
```
data_ZnCdF4
_cell_length_a 5.2161
_cell_length_b 5.4607
_cell_length_c 5.4613
_cell_angle_alpha 90.00
_cell_angle_beta 90.00
_cell_angle_gamma 90.00
_symmetry_space_group_name_H-M 'P n c 2'
_symmetry_Int_Tables_number 30
loop_
_symmetry_equiv_pos_as_xyz
'x,y,z'
'-x,-y,z'
'-x,y+1/2,z+1/2'
'x,-y+1/2,z+1/2'
loop_
_atom_site_label
_atom_site_fract_x
_atom_site_fract_y
_atom_site_fract_z
Zn1 0.0000 0.0000 0.0000
Cd1 0.5000 0.0000 0.5016
F1 0.2475 0.1926 0.1945
F2 0.2525 0.6915 0.3109
```